[1]
Er3Th2Ru2: theoretical powder X-ray diffraction pattern (λ = 1.5418 Å (Cu Kα)), based on a DFT-relaxed cell (GGA-PBE, Alexandria).
Kinematic intensities with the Lorentz-polarization factor, no thermal factor.

Crystal structure
```
data_Er3Th2Ru2
_cell_length_a 3.8058
_cell_length_b 6.2487
_cell_length_c 8.7167
_cell_angle_alpha 100.96
_cell_angle_beta 102.57
_cell_angle_gamma 107.65
_symmetry_space_group_name_H-M 'P -1'
_symmetry_Int_Tables_number 2
loop_
_symmetry_equiv_pos_as_xyz
'x,y,z'
'-x,-y,-z'
loop_
_atom_site_label
_atom_site_type_symbol
_atom_site_fract_x
_atom_site_fract_y
_atom_site_fract_z
Er1 Er 0.0000 0.0000 0.0000
Er2 Er 0.3018 0.1834 0.4209
Th1 Th 0.1390 0.4739 0.8052
Ru1 Ru 0.4526 0.1421 0.7641
```

Top 6 peaks for 2θ = 10–90°, low angle first:
hkl 0 1 2, 2θ 30.14, intensity 100; hkl -1 1 2, 2θ 30.86, intensity 68; hkl 0 1 -3, 2θ 32.25, intensity 92; hkl 1 -2 0, 2θ 32.61, intensity 96; hkl 1 1 -2, 2θ 34.13, intensity 57; hkl 1 1 0, 2θ 34.77, intensity 69

[2]
SmZnGaRu: theoretical powder X-ray diffraction pattern (λ = 1.5418 Å (Cu Kα)), based on a DFT-relaxed cell (GGA-PBE, Alexandria).
Kinematic intensities with the Lorentz-polarization factor, no thermal factor.

Crystal structure
```
data_SmZnGaRu
_cell_length_a 4.2779
_cell_length_b 4.2779
_cell_length_c 15.1432
_cell_angle_alpha 90.00
_cell_angle_beta 90.00
_cell_angle_gamma 120.00
_symmetry_space_group_name_H-M 'R 3 m'
_symmetry_Int_Tables_number 160
_symmetry_space_group_name_Hall 'R 3 -2"'
loop_
_atom_site_label
_atom_site_type_symbol
_atom_site_fract_x
_atom_site_fract_y
_atom_site_fract_z
Sm1 Sm 0.0000 0.0000 0.0000
Zn1 Zn 0.0000 0.0000 0.2084
Ga1 Ga 0.0000 0.0000 0.7882
Ru1 Ru 0.0000 0.0000 0.4718
```

Top 6 peaks for 2θ = 10–90°, low angle first:
hkl 0 1 2, 2θ 26.79, intensity 29; hkl 1 0 4, 2θ 33.85, intensity 100; hkl 0 1 5, 2θ 38.39, intensity 39; hkl 1 1 0, 2θ 42.25, intensity 87; hkl 0 2 4, 2θ 55.20, intensity 24; hkl 2 1 4, 2θ 71.89, intensity 22